Structure and calculated powder diffractogram of NaZrCu2Se4 (the GGA-PBE geometry in Alexandria; Cu Ka).
Neutral-atom scattering factors, no anomalous dispersion.

Structure:
```
data_NaZrCu2Se4
_symmetry_space_group_name_H-M 'I 2 2 2'
_symmetry_Int_Tables_number 23
_cell_length_a 6.4055
_cell_length_b 7.0120
_cell_length_c 8.5977
_cell_angle_alpha 90.00
_cell_angle_beta 90.00
_cell_angle_gamma 90.00
loop_
_symmetry_equiv_pos_as_xyz
'x,y,z'
'-x,-y,z'
'x,-y,-z'
'-x,y,-z'
'x+1/2,y+1/2,z+1/2'
'-x+1/2,-y+1/2,z+1/2'
'x+1/2,-y+1/2,-z+1/2'
'-x+1/2,y+1/2,-z+1/2'
loop_
_atom_site_label
_atom_site_type_symbol
_atom_site_fract_x
_atom_site_fract_y
_atom_site_fract_z
Na1 Na 0.0000 0.0000 0.0000
Zr1 Zr 0.0000 0.0000 0.5000
Cu1 Cu 0.0000 0.5000 0.1529
Se1 Se 0.2270 0.2262 0.3377
```

Most intense lines, 2θ = 5–70°, sorted by position:
| d/Å | 2θ/deg | I (rel.) | hkl |
| --- | --- | --- | --- |
| 5.434 | 16.31 | 53.6 | 0 1 1 |
| 3.181 | 28.05 | 100.0 | 1 1 2 |
| 2.759 | 32.45 | 13.9 | 2 1 1 |
| 2.717 | 32.97 | 13.5 | 0 2 2 |
| 2.365 | 38.05 | 63.2 | 2 2 0 |
| 2.097 | 43.15 | 17.8 | 1 2 3 |
| 1.956 | 46.42 | 48.4 | 1 1 4 |
| 1.845 | 49.41 | 28.7 | 3 1 2 |
| 1.536 | 60.25 | 16.6 | 1 3 4 |
| 1.480 | 62.76 | 17.8 | 3 1 4 |

Structure and calculated powder diffractogram of Na3Zr3CuSe8 (the GGA-PBE geometry in Alexandria; Cu Ka).
Neutral-atom scattering factors, no anomalous dispersion.

Structure:
```
data_Na3Zr3CuSe8
_symmetry_space_group_name_H-M 'C 1 2/m 1'
_symmetry_Int_Tables_number 12
_cell_length_a 13.4137
_cell_length_b 7.7538
_cell_length_c 8.3777
_cell_angle_alpha 90.00
_cell_angle_beta 122.21
_cell_angle_gamma 90.00
loop_
_symmetry_equiv_pos_as_xyz
'x,y,z'
'-x,-y,-z'
'-x,y,-z'
'x,-y,z'
'x+1/2,y+1/2,z'
'-x+1/2,-y+1/2,-z'
'-x+1/2,y+1/2,-z'
'x+1/2,-y+1/2,z'
loop_
_atom_site_label
_atom_site_type_symbol
_atom_site_fract_x
_atom_site_fract_y
_atom_site_fract_z
Na1 Na 0.0000 0.0000 0.0000
Na2 Na 0.2500 0.2500 0.0000
Zr1 Zr 0.0000 0.5000 0.5000
Zr2 Zr 0.2500 0.2500 0.5000
Cu1 Cu 0.0000 0.0000 0.5000
Se1 Se 0.0124 0.2503 0.2869
Se2 Se 0.2363 0.0000 0.7121
Se3 Se 0.2419 0.5000 0.7256
```

Most intense lines, 2θ = 5–70°, sorted by position:
| d/Å | 2θ/deg | I (rel.) | hkl |
| --- | --- | --- | --- |
| 7.088 | 12.49 | 48.5 | 0 0 1 |
| 3.314 | 26.90 | 7.5 | 2 2 -1 |
| 2.838 | 31.53 | 100.0 | 2 2 -2 |
| 2.252 | 40.04 | 16.1 | 4 0 1 |
| 2.084 | 43.43 | 34.7 | 4 0 -4 |
| 1.937 | 46.90 | 33.8 | 0 4 0 |
| 1.869 | 48.73 | 9.1 | 6 2 -1 |
| 1.675 | 54.81 | 10.5 | 2 2 3 |
| 1.600 | 57.61 | 17.1 | 8 0 -4 |
| 1.419 | 65.84 | 12.1 | 4 4 -4 |

Structure and calculated powder diffractogram of NaCu6Si4 (the GGA-PBE geometry in Alexandria; Cu Ka).
Neutral-atom scattering factors, no anomalous dispersion.

Structure:
```
data_NaCu6Si4
_symmetry_space_group_name_H-M 'I -4 2 m'
_symmetry_Int_Tables_number 121
_symmetry_space_group_name_Hall 'I -4 2'
_cell_length_a 6.1761
_cell_length_b 6.1761
_cell_length_c 8.8578
_cell_angle_alpha 90.00
_cell_angle_beta 90.00
_cell_angle_gamma 90.00
loop_
_atom_site_label
_atom_site_type_symbol
_atom_site_fract_x
_atom_site_fract_y
_atom_site_fract_z
Na1 Na 0.0000 0.0000 0.0000
Cu1 Cu 0.0000 0.5000 0.0000
Cu2 Cu 0.1939 0.1939 0.6763
Si1 Si 0.1802 0.1802 0.4059
```

Most intense lines, 2θ = 5–70°, sorted by position:
| d/Å | 2θ/deg | I (rel.) | hkl |
| --- | --- | --- | --- |
| 5.066 | 17.51 | 32.0 | 1 0 1 |
| 3.110 | 28.71 | 69.5 | 1 1 2 |
| 2.664 | 33.64 | 27.6 | 1 0 3 |
| 2.637 | 34.00 | 59.2 | 2 1 1 |
| 2.533 | 35.44 | 100.0 | 2 0 2 |
| 2.184 | 41.35 | 63.8 | 2 2 0 |
| 2.005 | 45.22 | 35.3 | 3 0 1 |
| 1.975 | 45.95 | 73.6 | 1 1 4 |
| 1.953 | 46.50 | 38.9 | 3 1 0 |
| 1.800 | 50.73 | 36.9 | 2 0 4 |

Structure and calculated powder diffractogram of NaCu10Si3 (the GGA-PBE geometry in Alexandria; Cu Ka).
Neutral-atom scattering factors, no anomalous dispersion.

Structure:
```
data_NaCu10Si3
_symmetry_space_group_name_H-M 'F m -3 m'
_symmetry_Int_Tables_number 225
_symmetry_space_group_name_Hall '-F 4 2 3'
_cell_length_a 11.7372
_cell_length_b 11.7372
_cell_length_c 11.7372
_cell_angle_alpha 90.00
_cell_angle_beta 90.00
_cell_angle_gamma 90.00
loop_
_atom_site_label
_atom_site_type_symbol
_atom_site_fract_x
_atom_site_fract_y
_atom_site_fract_z
Na1 Na 0.2500 0.2500 0.2500
Cu1 Cu 0.0000 0.1744 0.1744
Cu2 Cu 0.1141 0.1141 0.3859
Si1 Si 0.0000 0.0000 0.2638
```

Most intense lines, 2θ = 5–70°, sorted by position:
| d/Å | 2θ/deg | I (rel.) | hkl |
| --- | --- | --- | --- |
| 4.150 | 21.41 | 24.7 | 2 2 0 |
| 2.625 | 34.16 | 20.5 | 4 2 0 |
| 2.396 | 37.54 | 7.1 | 4 2 2 |
| 2.259 | 39.91 | 100.0 | 3 3 3 |
| 2.075 | 43.62 | 23.7 | 4 4 0 |
| 1.984 | 45.73 | 50.0 | 5 3 1 |
| 1.956 | 46.42 | 15.7 | 6 0 0 |
| 1.769 | 51.66 | 15.5 | 6 2 2 |
| 1.383 | 67.74 | 17.2 | 6 6 0 |
| 1.355 | 69.34 | 10.3 | 5 5 5 |

Structure and calculated powder diffractogram of NaCu2SiTe4 (the GGA-PBE geometry in Alexandria; Cu Ka).
Neutral-atom scattering factors, no anomalous dispersion.

Structure:
```
data_NaCu2SiTe4
_symmetry_space_group_name_H-M 'I -4 2 m'
_symmetry_Int_Tables_number 121
_symmetry_space_group_name_Hall 'I -4 2'
_cell_length_a 6.5290
_cell_length_b 6.5290
_cell_length_c 11.0147
_cell_angle_alpha 90.00
_cell_angle_beta 90.00
_cell_angle_gamma 90.00
loop_
_atom_site_label
_atom_site_type_symbol
_atom_site_fract_x
_atom_site_fract_y
_atom_site_fract_z
Na1 Na 0.0000 0.0000 0.0000
Cu1 Cu 0.0000 0.5000 0.2500
Si1 Si 0.0000 0.0000 0.5000
Te1 Te 0.2202 0.2202 0.3597
```

Most intense lines, 2θ = 5–70°, sorted by position:
| d/Å | 2θ/deg | I (rel.) | hkl |
| --- | --- | --- | --- |
| 5.507 | 16.09 | 8.8 | 0 0 2 |
| 3.538 | 25.17 | 100.0 | 1 1 2 |
| 3.264 | 27.32 | 11.3 | 2 0 0 |
| 2.822 | 31.70 | 9.2 | 2 1 1 |
| 2.308 | 39.02 | 23.4 | 2 2 0 |
| 2.105 | 42.97 | 35.2 | 2 0 4 |
| 1.933 | 47.00 | 28.8 | 3 1 2 |
| 1.706 | 53.73 | 9.5 | 1 1 6 |
| 1.632 | 56.37 | 6.2 | 4 0 0 |
| 1.372 | 68.38 | 6.5 | 3 1 6 |

Structure and calculated powder diffractogram of NaSmTlCu (the GGA-PBE geometry in Alexandria; Cu Ka).
Neutral-atom scattering factors, no anomalous dispersion.

Structure:
```
data_NaSmTlCu
_symmetry_space_group_name_H-M 'F -4 3 m'
_symmetry_Int_Tables_number 216
_symmetry_space_group_name_Hall 'F -4 2 3'
_cell_length_a 7.2902
_cell_length_b 7.2902
_cell_length_c 7.2902
_cell_angle_alpha 90.00
_cell_angle_beta 90.00
_cell_angle_gamma 90.00
loop_
_atom_site_label
_atom_site_type_symbol
_atom_site_fract_x
_atom_site_fract_y
_atom_site_fract_z
Na1 Na 0.0000 0.0000 0.0000
Sm1 Sm 0.0000 0.0000 0.5000
Tl1 Tl 0.2500 0.2500 0.7500
Cu1 Cu 0.2500 0.2500 0.2500
```

Most intense lines, 2θ = 5–70°, sorted by position:
| d/Å | 2θ/deg | I (rel.) | hkl |
| --- | --- | --- | --- |
| 4.209 | 21.11 | 38.3 | 1 1 1 |
| 3.645 | 24.42 | 5.5 | 2 0 0 |
| 2.577 | 34.81 | 100.0 | 2 2 0 |
| 2.198 | 41.06 | 21.2 | 3 1 1 |
| 2.105 | 42.98 | 1.7 | 2 2 2 |
| 1.823 | 50.05 | 17.8 | 4 0 0 |
| 1.672 | 54.90 | 9.4 | 3 3 1 |
| 1.630 | 56.45 | 2.3 | 4 2 0 |
| 1.488 | 62.40 | 36.4 | 4 2 2 |
| 1.403 | 66.66 | 7.2 | 5 1 1 |

Structure and calculated powder diffractogram of Na2CuSn6 (the GGA-PBE geometry in Alexandria; Cu Ka).
Neutral-atom scattering factors, no anomalous dispersion.

Structure:
```
data_Na2CuSn6
_symmetry_space_group_name_H-M 'A m m 2'
_symmetry_Int_Tables_number 38
_cell_length_a 4.4609
_cell_length_b 4.5586
_cell_length_c 23.8712
_cell_angle_alpha 90.00
_cell_angle_beta 90.00
_cell_angle_gamma 90.00
loop_
_symmetry_equiv_pos_as_xyz
'x,y,z'
'-x,-y,z'
'-x,y,z'
'x,-y,z'
'x,y+1/2,z+1/2'
'-x,-y+1/2,z+1/2'
'-x,y+1/2,z+1/2'
'x,-y+1/2,z+1/2'
loop_
_atom_site_label
_atom_site_type_symbol
_atom_site_fract_x
_atom_site_fract_y
_atom_site_fract_z
Na1 Na 0.0000 0.0000 0.0000
Na2 Na 0.0000 0.0000 0.3463
Cu1 Cu 0.5000 0.0000 0.5570
Sn1 Sn 0.0000 0.0000 0.6189
Sn2 Sn 0.0000 0.0000 0.7449
Sn3 Sn 0.5000 0.0000 0.1141
Sn4 Sn 0.5000 0.0000 0.2379
Sn5 Sn 0.5000 0.0000 0.4498
Sn6 Sn 0.5000 0.0000 0.8726
```

Most intense lines, 2θ = 5–70°, sorted by position:
| d/Å | 2θ/deg | I (rel.) | hkl |
| --- | --- | --- | --- |
| 11.936 | 7.41 | 37.0 | 0 0 2 |
| 3.160 | 28.24 | 65.2 | 1 1 1 |
| 2.984 | 29.95 | 35.2 | 0 0 8 |
| 2.960 | 30.20 | 100.0 | 1 1 3 |
| 2.651 | 33.81 | 52.9 | 1 1 5 |
| 2.329 | 38.66 | 43.1 | 1 1 7 |
| 2.279 | 39.54 | 46.6 | 0 2 0 |
| 2.230 | 40.44 | 43.8 | 2 0 0 |
| 2.039 | 44.43 | 66.9 | 1 1 9 |
| 1.594 | 57.85 | 34.5 | 2 2 0 |

Structure and calculated powder diffractogram of NaCuSn (the GGA-PBE geometry in Alexandria; Cu Ka).
Neutral-atom scattering factors, no anomalous dispersion.

Structure:
```
data_NaCuSn
_symmetry_space_group_name_H-M 'P 1 21/c 1'
_symmetry_Int_Tables_number 14
_cell_length_a 6.5930
_cell_length_b 6.3519
_cell_length_c 8.3222
_cell_angle_alpha 90.00
_cell_angle_beta 125.59
_cell_angle_gamma 90.00
loop_
_symmetry_equiv_pos_as_xyz
'x,y,z'
'-x,-y,-z'
'-x,y+1/2,-z+1/2'
'x,-y+1/2,z+1/2'
loop_
_atom_site_label
_atom_site_type_symbol
_atom_site_fract_x
_atom_site_fract_y
_atom_site_fract_z
Na1 Na 0.2035 0.1136 0.4208
Cu1 Cu 0.3757 0.5984 0.3412
Sn1 Sn 0.2331 0.6211 0.5747
```

Most intense lines, 2θ = 5–70°, sorted by position:
| d/Å | 2θ/deg | I (rel.) | hkl |
| --- | --- | --- | --- |
| 4.632 | 19.16 | 100.0 | 0 1 1 |
| 4.097 | 21.69 | 80.4 | 1 1 0 |
| 2.847 | 31.42 | 78.2 | 1 2 -1 |
| 2.681 | 33.42 | 28.5 | 2 0 0 |
| 2.501 | 35.90 | 47.4 | 1 1 -3 |
| 2.307 | 39.04 | 73.8 | 1 2 1 |
| 2.193 | 41.17 | 26.6 | 3 0 -2 |
| 2.031 | 44.61 | 37.4 | 2 2 -3 |
| 2.018 | 44.91 | 33.0 | 3 1 -3 |
| 1.976 | 45.94 | 31.2 | 1 0 -4 |

Question: What is the formula in the fourth record?
Answer: NaCu10Si3